For Mg2MnFe3S8, a structure optimized by DFT (GGA-PBE) gives the calculated powder diffraction line list in this record (Cu Kα).
Peak positions follow from Bragg's law for the DFT cell and can differ from measured ones.

The 10 most intense peaks (10 to 90 degrees two-theta), by angle:
d [Å]	I/Imax
5.726	68
5.661	32
2.987	56
2.966	18
2.472	100
1.909	14
1.904	25
1.897	18
1.756	48
1.741	43

a b c (Å): 6.963 6.963 6.963
angles (deg): 60.56 60.56 60.56
Fractional positions:
Mg  0.126  0.126  0.126
Mg  0.874  0.874  0.874
Mn  0.500  0.500  0.500
Fe  0.000  0.500  0.500
Fe  0.500  0.000  0.500
Fe  0.500  0.500  0.000
S  0.261  0.261  0.703
S  0.261  0.703  0.261
S  0.268  0.268  0.268
S  0.297  0.739  0.739
S  0.703  0.261  0.261
S  0.732  0.732  0.732
S  0.739  0.297  0.739
S  0.739  0.739  0.297